1.
Calculated powder X-ray diffraction pattern
Compound: La2Zn3Ir2
Radiation: Cu Kα, 1.54184 Å
Structure: the GGA-PBE geometry in Alexandria

Cell and atoms:
Cell: 10.151 4.187 7.410 Å, 90.00 113.59 90.00°
Atoms (fractional coordinates):
La (0.143, 0.000, 0.266)
La (0.357, 0.500, 0.734)
La (0.643, 0.500, 0.266)
La (0.857, 0.000, 0.734)
Zn (0.000, 0.500, 0.500)
Zn (0.146, 0.500, 0.942)
Zn (0.354, 0.000, 0.058)
Zn (0.500, 0.000, 0.500)
Zn (0.646, 0.000, 0.942)
Zn (0.854, 0.500, 0.058)
Ir (0.134, 0.000, 0.695)
Ir (0.366, 0.500, 0.305)
Ir (0.634, 0.500, 0.695)
Ir (0.866, 0.000, 0.305)

Principal peaks in the range 2θ from 15° to 90°, by angle:
two_theta  intensity
18.30  310
23.30  494
26.24  384
36.04  566
37.10  299
37.26  917
38.25  1000
38.72  428
43.21  634
68.46  296

***

2.
Calculated powder X-ray diffraction pattern
Compound: LaZn3Ir
Radiation: Cu Kα, 1.54184 Å
Structure: the GGA-PBE geometry in Alexandria

Cell and atoms:
Cell: 4.809 4.823 5.273 Å, 112.26 112.66 95.52°
Atoms (fractional coordinates):
La (0.000, 0.000, 0.000)
Zn (0.284, 0.700, 0.539)
Zn (0.635, 0.638, 0.233)
Zn (0.706, 0.286, 0.536)
Ir (0.258, 0.251, 0.681)

Principal peaks in the range 2θ from 15° to 90°, by angle:
two_theta  intensity
20.47  261
20.75  227
20.87  219
24.97  522
35.52  939
35.68  477
36.90  221
37.56  1000
51.24  219
52.11  223

***

3.
Calculated powder X-ray diffraction pattern
Compound: La3Zn2Ir3
Radiation: Cu Kα, 1.54184 Å
Structure: the GGA-PBE geometry in Alexandria

Cell and atoms:
Cell: 6.324 6.324 14.386 Å, 90.00 90.00 141.51°
Atoms (fractional coordinates):
La (0.075, 0.925, 0.612)
La (0.075, 0.925, 0.888)
La (0.346, 0.654, 0.750)
La (0.654, 0.346, 0.250)
La (0.925, 0.075, 0.112)
La (0.925, 0.075, 0.388)
Zn (0.223, 0.777, 0.078)
Zn (0.223, 0.777, 0.422)
Zn (0.777, 0.223, 0.578)
Zn (0.777, 0.223, 0.922)
Ir (0.330, 0.670, 0.250)
Ir (0.399, 0.601, 0.543)
Ir (0.399, 0.601, 0.957)
Ir (0.601, 0.399, 0.043)
Ir (0.601, 0.399, 0.457)
Ir (0.670, 0.330, 0.750)

Principal peaks in the range 2θ from 15° to 90°, by angle:
two_theta  intensity
19.32  251
31.06  350
31.70  541
33.76  1000
34.61  287
36.40  845
40.12  269
43.41  508
45.55  369
47.39  264

***

4.
Calculated powder X-ray diffraction pattern
Compound: LaZr2Ir
Radiation: Cu Kα, 1.54184 Å
Structure: the GGA-PBE geometry in Alexandria

Cell and atoms:
Cell: 3.303 4.363 6.668 Å, 90.00 97.75 90.00°
Atoms (fractional coordinates):
La (0.000, 0.000, 0.000)
Zr (0.127, 0.000, 0.558)
Zr (0.602, 0.500, 0.338)
Ir (0.522, 0.500, 0.730)

Principal peaks in the range 2θ from 15° to 90°, by angle:
two_theta  intensity
24.45  201
34.04  839
34.25  1000
35.93  443
38.32  180
41.38  483
46.17  138
55.94  246
63.64  165
70.93  148

***

5.
Calculated powder X-ray diffraction pattern
Compound: Li2Ir3
Radiation: Cu Kα, 1.54184 Å
Structure: the GGA-PBE geometry in Alexandria

Cell and atoms:
Cell: 2.693 2.693 33.673 Å, 90.00 90.00 120.00°
Atoms (fractional coordinates):
Li (0.000, 0.000, 0.101)
Li (0.000, 0.000, 0.899)
Li (0.333, 0.667, 0.566)
Li (0.333, 0.667, 0.768)
Li (0.667, 0.333, 0.232)
Li (0.667, 0.333, 0.434)
Ir (0.000, 0.000, 0.301)
Ir (0.000, 0.000, 0.500)
Ir (0.000, 0.000, 0.699)
Ir (0.333, 0.667, 0.167)
Ir (0.333, 0.667, 0.366)
Ir (0.333, 0.667, 0.967)
Ir (0.667, 0.333, 0.033)
Ir (0.667, 0.333, 0.634)
Ir (0.667, 0.333, 0.833)

Principal peaks in the range 2θ from 15° to 90°, by angle:
two_theta  intensity
15.79  981
23.78  330
38.70  314
40.15  621
40.96  1000
47.42  660
49.11  176
68.77  219
69.86  211
83.77  296

***

6.
Calculated powder X-ray diffraction pattern
Compound: Li5Ir
Radiation: Cu Kα, 1.54184 Å
Structure: the GGA-PBE geometry in Alexandria

Cell and atoms:
Cell: 2.543 4.325 8.525 Å, 90.00 90.00 90.00°
Atoms (fractional coordinates):
Li (0.000, 0.000, 0.000)
Li (0.000, 0.000, 0.359)
Li (0.000, 0.000, 0.641)
Li (0.500, 0.500, 0.192)
Li (0.500, 0.500, 0.808)
Ir (0.500, 0.500, 0.500)

Principal peaks in the range 2θ from 15° to 90°, by angle:
two_theta  intensity
20.54  656
20.84  638
23.06  1000
29.42  514
31.48  230
36.89  303
37.89  375
41.18  305
42.59  421
46.59  318